Entry 1:
This entry pairs a crystal structure of Li4Co7O2F14 with its theoretical XRD peak list. Radiation: Cu Kα, 1.54184 Å. Structure: DFT lattice parameters and positions (GGA+U).
Peak positions follow from Bragg's law for the DFT cell and can differ from measured ones.

Cell and atoms:
a = 5.0839 Å, b = 5.9675 Å, c = 10.5066 Å
α = 92.53°, β = 91.15°, γ = 90.90°
Space group P-1 (No. 2)
Unique sites:
1 Li 0.0237 0.2378 0.4047 [2 per cell]
2 Li 0.4599 0.2693 0.9187 [2 per cell]
3 Co 0.0000 0.0000 0.0000 [1 per cell]
4 Co 0.0136 0.2691 0.7401 [2 per cell]
5 Co 0.4986 0.2429 0.2415 [2 per cell]
6 Co 0.5000 0.0000 0.5000 [1 per cell]
7 Co 0.5000 0.5000 0.5000 [1 per cell]
8 O 0.3416 0.7547 0.5867 [2 per cell]
9 F 0.1791 0.7504 0.0915 [2 per cell]
10 F 0.2151 0.4744 0.3266 [2 per cell]
11 F 0.2171 0.2529 0.5709 [2 per cell]
12 F 0.2263 0.9923 0.3309 [2 per cell]
13 F 0.2442 0.0181 0.8334 [2 per cell]
14 F 0.2922 0.4861 0.8223 [2 per cell]
15 F 0.2986 0.2070 0.0736 [2 per cell]

Principal peaks in the range 2θ from 15° to 90°, in order of falling intensity:
- 2θ 24.46, 3.640 Å, rel. 100.0, (-1 1 1)
- 2θ 25.07, 3.553 Å, rel. 93.2, (1 1 1)
- 2θ 33.92, 2.643 Å, rel. 55.7, (0 2 -2)
- 2θ 34.19, 2.622 Å, rel. 55.1, (0 0 4)
- 2θ 49.42, 1.844 Å, rel. 47.9, (2 0 -4)
- 2θ 49.90, 1.828 Å, rel. 41.8, (2 2 -2)
- 2θ 50.51, 1.807 Å, rel. 41.0, (2 0 4)
- 2θ 19.56, 4.537 Å, rel. 40.9, (1 0 1)
- 2θ 24.24, 3.671 Å, rel. 40.4, (1 -1 1)
- 2θ 50.12, 1.820 Å, rel. 40.3, (-2 2 2)

Entry 2:
This entry pairs a crystal structure of Li5Co2O2F5 with its theoretical XRD peak list. Radiation: Cu Kα, 1.54184 Å. Structure: DFT lattice parameters and positions (GGA+U).
Peak positions follow from Bragg's law for the DFT cell and can differ from measured ones.

Cell and atoms:
a = 2.9488 Å, b = 2.9488 Å, c = 28.9139 Å
α = 90.00°, β = 90.00°, γ = 90.00°
Space group I4/mmm (No. 139)
Unique sites:
1 Li 0.0000 0.0000 0.0000 [2 per cell]
2 Li 0.0000 0.0000 0.1399 [4 per cell]
3 Li 0.0000 0.0000 0.4305 [4 per cell]
4 Co 0.0000 0.0000 0.2811 [4 per cell]
5 O 0.0000 0.0000 0.2105 [4 per cell]
6 F 0.0000 0.0000 0.0697 [4 per cell]
7 F 0.0000 0.0000 0.3608 [4 per cell]
8 F 0.0000 0.0000 0.5000 [2 per cell]

Principal peaks in the range 2θ from 15° to 90°, in order of falling intensity:
- 2θ 43.40, 2.085 Å, rel. 100.0, (1 1 0)
- 2θ 43.85, 2.065 Å, rel. 66.8, (0 0 14)
- 2θ 63.39, 1.467 Å, rel. 55.0, (1 1 14)
- 2θ 41.57, 2.172 Å, rel. 50.7, (1 0 9)
- 2θ 34.13, 2.627 Å, rel. 46.0, (1 0 5)
- 2θ 63.05, 1.474 Å, rel. 27.4, (2 0 0)
- 2θ 31.73, 2.820 Å, rel. 26.7, (1 0 3)
- 2θ 46.27, 1.962 Å, rel. 24.9, (1 0 11)
- 2θ 79.95, 1.200 Å, rel. 21.5, (2 0 14)
- 2θ 45.26, 2.003 Å, rel. 13.2, (1 1 4)

Entry 3:
This entry pairs a crystal structure of Li4Co4O3F9 with its theoretical XRD peak list. Radiation: Cu Kα, 1.54184 Å. Structure: DFT lattice parameters and positions (GGA+U).
Peak positions follow from Bragg's law for the DFT cell and can differ from measured ones.

Cell and atoms:
a = 5.0700 Å, b = 5.5058 Å, c = 8.8854 Å
α = 72.64°, β = 75.46°, γ = 63.12°
Space group P1 (No. 1)
Unique sites:
1 Li 0.0000 0.0000 0.0000 [1 per cell]
2 Li 0.2276 0.2375 0.2546 [1 per cell]
3 Li 0.4763 0.5036 0.4943 [1 per cell]
4 Li 0.7210 0.7448 0.7601 [1 per cell]
5 Co 0.1264 0.0307 0.6090 [1 per cell]
6 Co 0.4494 0.2748 0.8514 [1 per cell]
7 Co 0.6785 0.5089 0.1021 [1 per cell]
8 Co 0.9007 0.7577 0.3499 [1 per cell]
9 O 0.6344 0.4437 0.9304 [1 per cell]
10 O 0.7398 0.2016 0.6595 [1 per cell]
11 O 0.7434 0.5504 0.2742 [1 per cell]
12 F 0.1309 0.2769 0.0491 [1 per cell]
13 F 0.1375 0.9290 0.4058 [1 per cell]
14 F 0.1590 0.6280 0.7131 [1 per cell]
15 F 0.1992 0.3694 0.4616 [1 per cell]
16 F 0.2307 0.6913 0.1533 [1 per cell]
17 F 0.2653 0.0393 0.7993 [1 per cell]
18 F 0.5914 0.7996 0.5525 [1 per cell]
19 F 0.6563 0.1296 0.2174 [1 per cell]
20 F 0.7243 0.8658 0.9645 [1 per cell]

Principal peaks in the range 2θ from 15° to 90°, in order of falling intensity:
- 2θ 23.24, 3.828 Å, rel. 100.0, (0 1 -1)
- 2θ 24.57, 3.623 Å, rel. 96.8, (1 1 2)
- 2θ 23.75, 3.747 Å, rel. 96.1, (1 0 -1)
- 2θ 32.44, 2.760 Å, rel. 38.3, (1 -1 0)
- 2θ 32.70, 2.739 Å, rel. 37.0, (1 2 1)
- 2θ 33.42, 2.681 Å, rel. 32.9, (0 1 3)
- 2θ 62.37, 1.489 Å, rel. 32.9, (0 1 -5)
- 2θ 40.25, 2.241 Å, rel. 28.5, (1 0 -3)
- 2θ 35.42, 2.534 Å, rel. 22.6, (1 0 3)
- 2θ 47.51, 1.914 Å, rel. 22.6, (0 2 -2)

Entry 4:
This entry pairs a crystal structure of Li4Co3OF11 with its theoretical XRD peak list. Radiation: Cu Kα, 1.54184 Å. Structure: DFT lattice parameters and positions (GGA+U).
Peak positions follow from Bragg's law for the DFT cell and can differ from measured ones.

Cell and atoms:
a = 5.6561 Å, b = 5.9139 Å, c = 6.3508 Å
α = 99.91°, β = 100.88°, γ = 96.67°
Space group P1 (No. 1)
Unique sites:
1 Li 0.0000 0.0000 0.0000 [1 per cell]
2 Li 0.1851 0.2625 0.5932 [1 per cell]
3 Li 0.4703 0.8148 0.7803 [1 per cell]
4 Li 0.7157 0.2969 0.8187 [1 per cell]
5 Co 0.2860 0.5198 0.1063 [1 per cell]
6 Co 0.5673 0.0394 0.3106 [1 per cell]
7 Co 0.8642 0.6686 0.4614 [1 per cell]
8 O 0.5617 0.7141 0.3159 [1 per cell]
9 F 0.0550 0.2723 0.8613 [1 per cell]
10 F 0.1761 0.6138 0.5864 [1 per cell]
11 F 0.2731 0.8360 0.0311 [1 per cell]
12 F 0.3016 0.2455 0.2496 [1 per cell]
13 F 0.4576 0.0676 0.5992 [1 per cell]
14 F 0.4853 0.4804 0.9038 [1 per cell]
15 F 0.6860 0.0796 0.0502 [1 per cell]
16 F 0.7439 0.3476 0.4759 [1 per cell]
17 F 0.8013 0.7681 0.7480 [1 per cell]
18 F 0.9424 0.9915 0.4254 [1 per cell]
19 F 0.9851 0.5615 0.1833 [1 per cell]

Principal peaks in the range 2θ from 15° to 90°, in order of falling intensity:
- 2θ 19.29, 4.601 Å, rel. 100.0, (1 0 -1)
- 2θ 24.05, 3.701 Å, rel. 65.6, (1 1 0)
- 2θ 30.28, 2.951 Å, rel. 56.1, (1 0 -2)
- 2θ 25.48, 3.496 Å, rel. 55.0, (1 -1 1)
- 2θ 31.62, 2.830 Å, rel. 44.5, (0 2 -1)
- 2θ 31.49, 2.841 Å, rel. 38.6, (1 1 1)
- 2θ 33.96, 2.640 Å, rel. 28.5, (2 -1 0)
- 2θ 38.67, 2.328 Å, rel. 27.6, (2 -1 1)
- 2θ 54.53, 1.683 Å, rel. 22.8, (-3 1 2)
- 2θ 52.91, 1.730 Å, rel. 21.7, (1 3 0)

Entry 5:
This entry pairs a crystal structure of Li6CoOF6 with its theoretical XRD peak list. Radiation: Cu Kα, 1.54184 Å. Structure: DFT lattice parameters and positions (GGA+U).
Peak positions follow from Bragg's law for the DFT cell and can differ from measured ones.

Cell and atoms:
a = 2.9083 Å, b = 2.9083 Å, c = 29.2039 Å
α = 90.00°, β = 90.00°, γ = 90.00°
Space group I4/mmm (No. 139)
Unique sites:
1 Li 0.0000 0.0000 0.0747 [4 per cell]
2 Li 0.0000 0.0000 0.2152 [4 per cell]
3 Li 0.0000 0.0000 0.3540 [4 per cell]
4 Co 0.0000 0.0000 0.5000 [2 per cell]
5 O 0.0000 0.0000 0.0000 [2 per cell]
6 F 0.0000 0.0000 0.1456 [4 per cell]
7 F 0.0000 0.0000 0.2848 [4 per cell]
8 F 0.0000 0.0000 0.4232 [4 per cell]

Principal peaks in the range 2θ from 15° to 90°, in order of falling intensity:
- 2θ 44.03, 2.057 Å, rel. 100.0, (1 1 0)
- 2θ 63.53, 1.464 Å, rel. 51.7, (1 1 14)
- 2θ 43.38, 2.086 Å, rel. 49.7, (0 0 14)
- 2θ 30.90, 2.894 Å, rel. 40.1, (1 0 1)
- 2θ 32.12, 2.787 Å, rel. 33.8, (1 0 3)
- 2θ 18.23, 4.867 Å, rel. 29.6, (0 0 6)
- 2θ 64.03, 1.454 Å, rel. 26.5, (2 0 0)
- 2θ 41.70, 2.166 Å, rel. 25.6, (1 0 9)
- 2θ 34.45, 2.603 Å, rel. 23.7, (1 0 5)
- 2θ 80.52, 1.193 Å, rel. 22.3, (2 0 14)

Entry 6:
This entry pairs a crystal structure of Li2CoOF3 with its theoretical XRD peak list. Radiation: Cu Kα, 1.54184 Å. Structure: DFT lattice parameters and positions (GGA+U).
Peak positions follow from Bragg's law for the DFT cell and can differ from measured ones.

Cell and atoms:
a = 9.1696 Å, b = 5.4138 Å, c = 5.9884 Å
α = 90.00°, β = 92.33°, γ = 90.00°
Space group Cc (No. 9)
Unique sites:
1 Li 0.0000 0.0068 0.0000 [4 per cell]
2 Li 0.1640 0.4520 0.3358 [4 per cell]
3 Co 0.3487 0.0612 0.1602 [4 per cell]
4 O 0.2525 0.0848 0.4341 [4 per cell]
5 F 0.0264 0.2573 0.7456 [4 per cell]
6 F 0.2765 0.4058 0.0771 [4 per cell]
7 F 0.4812 0.2298 0.7576 [4 per cell]

Principal peaks in the range 2θ from 15° to 90°, in order of falling intensity:
- 2θ 19.04, 4.661 Å, rel. 100.0, (1 1 0)
- 2θ 19.38, 4.581 Å, rel. 67.0, (2 0 0)
- 2θ 35.15, 2.553 Å, rel. 48.4, (2 0 -2)
- 2θ 38.64, 2.330 Å, rel. 33.8, (2 2 0)
- 2θ 33.69, 2.660 Å, rel. 28.3, (3 1 0)
- 2θ 29.87, 2.992 Å, rel. 28.1, (0 0 2)
- 2θ 50.11, 1.820 Å, rel. 19.2, (2 2 2)
- 2θ 24.45, 3.641 Å, rel. 19.1, (1 1 1)
- 2θ 35.31, 2.542 Å, rel. 17.5, (1 1 -2)
- 2θ 54.15, 1.694 Å, rel. 16.2, (1 3 1)

Entry 7:
This entry pairs a crystal structure of Li8CoO5F with its theoretical XRD peak list. Radiation: Cu Kα, 1.54184 Å. Structure: DFT lattice parameters and positions (GGA+U).
Peak positions follow from Bragg's law for the DFT cell and can differ from measured ones.

Cell and atoms:
a = 5.4350 Å, b = 5.7796 Å, c = 8.6191 Å
α = 98.06°, β = 95.30°, γ = 92.26°
Space group P1 (No. 1)
Unique sites:
1 Li 0.0000 0.0000 0.0000 [1 per cell]
2 Li 0.0064 0.3507 0.3611 [1 per cell]
3 Li 0.0281 0.6787 0.6668 [1 per cell]
4 Li 0.1632 0.6205 0.9306 [1 per cell]
5 Li 0.1711 0.2956 0.6702 [1 per cell]
6 Li 0.3248 0.5312 0.2372 [1 per cell]
7 Li 0.3374 0.2060 0.9243 [1 per cell]
8 Li 0.3585 0.8929 0.5818 [1 per cell]
9 Li 0.4715 0.5116 0.4949 [1 per cell]
10 Li 0.5072 0.8478 0.8562 [1 per cell]
11 Li 0.5403 0.1649 0.1770 [1 per cell]
12 Li 0.6428 0.1292 0.4516 [1 per cell]
13 Li 0.6659 0.7851 0.1524 [1 per cell]
14 Li 0.8149 0.7180 0.4153 [1 per cell]
15 Li 0.8335 0.0334 0.7495 [1 per cell]
16 Li 0.8774 0.3889 0.0783 [1 per cell]
17 Co 0.1820 0.9451 0.2687 [1 per cell]
18 Co 0.6859 0.4477 0.7566 [1 per cell]
19 O 0.0028 0.6478 0.2376 [1 per cell]
20 O 0.0067 0.2912 0.8780 [1 per cell]
21 O 0.3382 0.2459 0.3491 [1 per cell]
22 O 0.3432 0.9230 0.0432 [1 per cell]
23 O 0.3577 0.6077 0.6982 [1 per cell]
24 O 0.4779 0.8015 0.3750 [1 per cell]
25 O 0.5109 0.1513 0.7333 [1 per cell]
26 O 0.8194 0.4385 0.5446 [1 per cell]
27 O 0.8382 0.7422 0.8497 [1 per cell]
28 O 0.8803 0.0935 0.2038 [1 per cell]
29 F 0.0029 0.9530 0.5678 [1 per cell]
30 F 0.5253 0.4392 0.0711 [1 per cell]

Principal peaks in the range 2θ from 15° to 90°, in order of falling intensity:
- 2θ 34.28, 2.616 Å, rel. 100.0, (1 0 -3)
- 2θ 17.41, 5.094 Å, rel. 78.3, (0 1 -1)
- 2θ 20.92, 4.246 Å, rel. 72.8, (0 0 2)
- 2θ 19.94, 4.452 Å, rel. 72.4, (0 1 1)
- 2θ 18.57, 4.778 Å, rel. 68.8, (1 0 -1)
- 2θ 37.88, 2.375 Å, rel. 66.3, (2 -1 1)
- 2θ 20.33, 4.368 Å, rel. 65.0, (1 0 1)
- 2θ 22.03, 4.035 Å, rel. 58.6, (1 -1 0)
- 2θ 23.25, 3.826 Å, rel. 46.5, (1 1 0)
- 2θ 39.67, 2.272 Å, rel. 45.5, (1 2 1)

Entry 8:
This entry pairs a crystal structure of Li3Co3OF7 with its theoretical XRD peak list. Radiation: Cu Kα, 1.54184 Å. Structure: DFT lattice parameters and positions (GGA+U).
Peak positions follow from Bragg's law for the DFT cell and can differ from measured ones.

Cell and atoms:
a = 10.5028 Å, b = 6.0679 Å, c = 10.4961 Å
α = 90.00°, β = 109.46°, γ = 90.00°
Space group Cc (No. 9)
Unique sites:
1 Li 0.0000 0.0058 0.0000 [4 per cell]
2 Li 0.1878 0.2449 0.3127 [4 per cell]
3 Li 0.3162 0.2333 0.6833 [4 per cell]
4 Co 0.2569 0.2441 0.0063 [4 per cell]
5 Co 0.4942 0.0054 0.0056 [4 per cell]
6 Co 0.4943 0.2503 0.2437 [4 per cell]
7 O 0.3821 0.0282 0.1216 [4 per cell]
8 F 0.1163 0.2358 0.6191 [4 per cell]
9 F 0.1198 0.0237 0.8740 [4 per cell]
10 F 0.1212 0.2535 0.1146 [4 per cell]
11 F 0.1232 0.4860 0.8861 [4 per cell]
12 F 0.3792 0.5002 0.1165 [4 per cell]
13 F 0.3812 0.2608 0.8829 [4 per cell]
14 F 0.3863 0.2497 0.3786 [4 per cell]

Principal peaks in the range 2θ from 15° to 90°, in order of falling intensity:
- 2θ 17.91, 4.952 Å, rel. 100.0, (1 1 -1)
- 2θ 42.15, 2.144 Å, rel. 77.3, (2 2 2)
- 2θ 34.70, 2.586 Å, rel. 54.2, (3 1 -3)
- 2θ 61.13, 1.516 Å, rel. 47.1, (0 4 0)
- 2θ 55.69, 1.651 Å, rel. 23.3, (3 3 1)
- 2θ 64.26, 1.450 Å, rel. 14.6, (1 3 -5)
- 2θ 17.14, 5.174 Å, rel. 14.2, (1 1 0)
- 2θ 46.14, 1.967 Å, rel. 14.0, (1 1 -5)
- 2θ 77.04, 1.238 Å, rel. 11.9, (4 4 -4)
- 2θ 22.60, 3.934 Å, rel. 8.8, (1 1 -2)

Entry 9:
This entry pairs a crystal structure of Li2CoOF3 with its theoretical XRD peak list. Radiation: Cu Kα, 1.54184 Å. Structure: DFT lattice parameters and positions (GGA+U).
Peak positions follow from Bragg's law for the DFT cell and can differ from measured ones.

Cell and atoms:
a = 5.9352 Å, b = 5.9352 Å, c = 8.2066 Å
α = 90.00°, β = 90.00°, γ = 90.00°
Space group P4_1 (No. 76)
Unique sites:
1 Li 0.0161 0.2411 0.0000 [4 per cell]
2 Li 0.2431 0.7411 0.1170 [4 per cell]
3 Co 0.2552 0.5014 0.7457 [4 per cell]
4 O 0.2960 0.4779 0.9715 [4 per cell]
5 F 0.0081 0.7451 0.7412 [4 per cell]
6 F 0.0324 0.2631 0.7519 [4 per cell]
7 F 0.2213 0.5060 0.5064 [4 per cell]

Principal peaks in the range 2θ from 15° to 90°, in order of falling intensity:
- 2θ 18.45, 4.809 Å, rel. 100.0, (1 0 1)
- 2θ 23.81, 3.737 Å, rel. 72.2, (1 1 1)
- 2θ 43.11, 2.098 Å, rel. 63.7, (2 2 0)
- 2θ 35.55, 2.525 Å, rel. 37.3, (2 1 1)
- 2θ 63.41, 1.467 Å, rel. 36.9, (2 2 4)
- 2θ 44.14, 2.052 Å, rel. 30.6, (0 0 4)
- 2θ 26.41, 3.375 Å, rel. 29.4, (1 0 2)
- 2θ 40.47, 2.229 Å, rel. 19.0, (1 2 2)
- 2θ 62.61, 1.484 Å, rel. 18.5, (4 0 0)
- 2θ 49.84, 1.830 Å, rel. 15.9, (1 3 1)

Entry 10:
This entry pairs a crystal structure of LiCo2OF5 with its theoretical XRD peak list. Radiation: Cu Kα, 1.54184 Å. Structure: DFT lattice parameters and positions (GGA+U).
Peak positions follow from Bragg's law for the DFT cell and can differ from measured ones.

Cell and atoms:
a = 6.4596 Å, b = 6.4595 Å, c = 18.0915 Å
α = 90.00°, β = 90.13°, γ = 90.00°
Space group Cc (No. 9)
Unique sites:
1 Li 0.0000 0.0037 0.0000 [4 per cell]
2 Li 0.4874 0.0102 0.2500 [4 per cell]
3 Co 0.0249 0.4989 0.5827 [4 per cell]
4 Co 0.4888 0.4981 0.6635 [4 per cell]
5 Co 0.4914 0.0021 0.9135 [4 per cell]
6 Co 0.4905 0.4655 0.8327 [4 per cell]
7 O 0.2963 0.4982 0.5892 [4 per cell]
8 O 0.4911 0.1942 0.8392 [4 per cell]
9 F 0.1801 0.9999 0.2450 [4 per cell]
10 F 0.1970 0.0012 0.0880 [4 per cell]
11 F 0.1999 0.0029 0.9151 [4 per cell]
12 F 0.2824 0.4991 0.4155 [4 per cell]
13 F 0.2993 0.4988 0.7441 [4 per cell]
14 F 0.4882 0.2103 0.1650 [4 per cell]
15 F 0.4901 0.1888 0.4951 [4 per cell]
16 F 0.4897 0.2065 0.3380 [4 per cell]
17 F 0.4899 0.2071 0.6657 [4 per cell]
18 F 0.4913 0.1920 0.9941 [4 per cell]

Principal peaks in the range 2θ from 15° to 90°, in order of falling intensity:
- 2θ 27.62, 3.230 Å, rel. 100.0, (2 0 0)
- 2θ 21.80, 4.078 Å, rel. 67.4, (1 1 -2)
- 2θ 54.22, 1.692 Å, rel. 47.5, (3 1 -6)
- 2θ 35.68, 2.516 Å, rel. 44.8, (1 1 -6)
- 2θ 40.95, 2.204 Å, rel. 37.0, (2 0 -6)
- 2θ 19.63, 4.523 Å, rel. 25.7, (0 0 4)
- 2θ 69.11, 1.359 Å, rel. 24.1, (3 3 -6)
- 2θ 57.03, 1.615 Å, rel. 21.0, (4 0 0)
- 2θ 34.12, 2.628 Å, rel. 19.8, (2 0 4)
- 2θ 54.30, 1.690 Å, rel. 15.6, (3 1 6)